Simulated powder diffractogram of LiMn7O12 for Cu Kα (weighted mean of Kα1 and Kα2), from a structure optimized by DFT (PBE+U).
Peak positions follow from Bragg's law for the DFT cell and can differ from measured ones.

Peak list (10 most intense, 2θ from 10° to 90°, in order of rising 2θ)
| two_theta | Rel. int. |
| --- | --- |
| 16.88 | 19 |
| 23.96 | 7 |
| 29.46 | 11 |
| 34.15 | 100 |
| 38.32 | 10 |
| 45.71 | 6 |
| 49.06 | 30 |
| 61.13 | 52 |
| 71.91 | 13 |
| 82.06 | 16 |

Lattice parameters (Å, degrees): 6.4321 6.4321 6.4321 109.47 109.47 109.47
Fractional positions:
Li (0.0000, 0.0000, 0.0000)
Mn (0.0000, 0.0000, 0.5000)
Mn (0.0000, 0.5000, 0.0000)
Mn (0.0000, 0.5000, 0.5000)
Mn (0.5000, 0.0000, 0.0000)
Mn (0.5000, 0.0000, 0.5000)
Mn (0.5000, 0.5000, 0.0000)
Mn (0.5000, 0.5000, 0.5000)
O (0.1285, 0.3112, 0.8173)
O (0.1827, 0.4939, 0.3112)
O (0.1827, 0.8715, 0.6888)
O (0.3112, 0.1827, 0.4939)
O (0.3112, 0.8173, 0.1285)
O (0.4939, 0.3112, 0.1827)
O (0.5061, 0.6888, 0.8173)
O (0.6888, 0.1827, 0.8715)
O (0.6888, 0.8173, 0.5061)
O (0.8173, 0.1285, 0.3112)
O (0.8173, 0.5061, 0.6888)
O (0.8715, 0.6888, 0.1827)